Structure and computed X-ray diffraction stick pattern of Pr4SnHg5 (a structure optimized by DFT (PBE); a wavelength of 1.5418 Å).
Peak positions follow from Bragg's law for the DFT cell and can differ from measured ones.

Main lines, by angle (2θ = 10–90°):
Position (°2θ)  I (rel.)  (hkl)
32.34  42  2 0 2
32.69  100  5 1 0
33.56  89  3 1 -2
33.95  51  0 2 0
34.21  12  1 1 2
47.57  44  8 0 -2
57.34  12  7 1 2
59.69  22  8 2 -2
59.95  19  5 3 0
60.50  16  3 3 -2
68.52  9  10 2 0
80.62  8  2 4 2

Structure:
```
data_Pr4SnHg5
_cell_length_a 16.480
_cell_length_b 5.281
_cell_length_c 6.618
_cell_angle_alpha 90.00
_cell_angle_beta 103.59
_cell_angle_gamma 90.00
_symmetry_space_group_name_H-M 'C 1 2/m 1'
_symmetry_Int_Tables_number 12
loop_
_symmetry_equiv_pos_as_xyz
'x,y,z'
'-x,-y,-z'
'-x,y,-z'
'x,-y,z'
'x+1/2,y+1/2,z'
'-x+1/2,-y+1/2,-z'
'-x+1/2,y+1/2,-z'
'x+1/2,-y+1/2,z'
loop_
_atom_site_label
_atom_site_type_symbol
_atom_site_fract_x
_atom_site_fract_y
_atom_site_fract_z
Pr1 Pr 0.093 0.000 0.334
Pr2 Pr 0.187 0.500 0.821
Sn1 Sn 0.000 0.500 0.500
Hg1 Hg 0.000 0.500 0.000
Hg2 Hg 0.100 0.000 0.862
Hg3 Hg 0.219 0.500 0.337
```